Entry 1:
Structure and theoretical powder X-ray diffraction pattern of Zr6Ag7F31 (a crystal structure in Alexandria, relaxed with GGA-PBE; Cu Kα, 1.54184 Å).

Peak list (10 most intense, 15° ≤ 2θ ≤ 90°, sorted by position)
2θ 26.78, d 3.329, rel. 36.1, (0 0 3); 2θ 27.66, d 3.225, rel. 100.0, (4 -3 1); 2θ 31.79, d 2.814, rel. 46.1, (3 1 2); 2θ 45.01, d 2.014, rel. 39.9, (4 -3 4); 2θ 46.15, d 1.967, rel. 38.5, (2 5 0); 2θ 53.15, d 1.723, rel. 17.7, (3 1 5); 2θ 54.16, d 1.694, rel. 32.4, (7 -2 3); 2θ 54.65, d 1.679, rel. 16.7, (6 2 1); 2θ 66.44, d 1.407, rel. 11.0, (6 2 4); 2θ 74.26, d 1.277, rel. 11.1, (1 9 1)

Atomic structure:
```
data_Zr6Ag7F31
_chemical_formula_sum 'Zr18 Ag21 F93'
_symmetry_space_group_name_H-M 'R -3'
_symmetry_Int_Tables_number 148
_symmetry_space_group_name_Hall '-R 3'
_cell_length_a 14.1852
_cell_length_b 14.1852
_cell_length_c 9.9874
_cell_angle_alpha 90.00
_cell_angle_beta 90.00
_cell_angle_gamma 120.00
loop_
_atom_site_label
_atom_site_fract_x
_atom_site_fract_y
_atom_site_fract_z
Zr1 0.0542 0.1876 0.3311
Ag1 0.0000 0.0000 0.0000
Ag2 0.0310 0.5850 0.6558
F1 0.0000 0.0000 0.5000
F2 0.0227 0.5753 0.9280
F3 0.0361 0.1250 0.7148
F4 0.0418 0.6111 0.4015
F5 0.0478 0.8380 0.4978
F6 0.0553 0.1789 0.1213
```

***

Entry 2:
Structure and theoretical powder X-ray diffraction pattern of Fe3Ag2 (a crystal structure in Alexandria, relaxed with GGA-PBE; Cu Kα, 1.54184 Å).

Peak list (10 most intense, 15° ≤ 2θ ≤ 90°, sorted by position)
2θ 19.05, d 4.660, rel. 4.6, (0 0 3); 2θ 27.42, d 3.253, rel. 20.4, (0 1 2); 2θ 40.54, d 2.225, rel. 100.0, (0 1 5); 2θ 42.60, d 2.122, rel. 88.9, (1 1 0); 2θ 52.12, d 1.755, rel. 6.9, (1 0 7); 2θ 60.26, d 1.536, rel. 28.7, (2 0 5); 2θ 72.31, d 1.307, rel. 14.7, (1 0 10); 2θ 76.58, d 1.244, rel. 27.3, (1 2 5); 2θ 77.99, d 1.225, rel. 13.4, (3 0 0); 2θ 87.72, d 1.113, rel. 8.9, (0 2 10)

Atomic structure:
```
data_Fe3Ag2
_chemical_formula_sum 'Fe9 Ag6'
_symmetry_space_group_name_H-M 'R -3 m'
_symmetry_Int_Tables_number 166
_symmetry_space_group_name_Hall '-R 3 2"'
_cell_length_a 4.2441
_cell_length_b 4.2441
_cell_length_c 13.9797
_cell_angle_alpha 90.00
_cell_angle_beta 90.00
_cell_angle_gamma 120.00
loop_
_atom_site_label
_atom_site_fract_x
_atom_site_fract_y
_atom_site_fract_z
Fe1 0.0000 0.0000 0.0000
Fe2 0.0000 0.0000 0.3914
Ag1 0.0000 0.0000 0.2042
```